For Pm11Ga9Ni4, DFT lattice parameters and positions (GGA-PBE) gives the simulated XRD peak list in this record (Cu Kα (weighted mean of Kα1 and Kα2)).

Structural model:
Lattice parameters (Å, degrees): 14.0640 21.1112 3.6784 90.00 90.00 90.00
Space group Cmmm (No. 65)
Unique sites:
Pm1 0.0000 0.0000 0.0000 x2
Pm2 0.0000 0.1672 0.0000 x4
Pm3 0.0000 0.3736 0.0000 x4
Pm4 0.1912 0.5000 0.0000 x4
Pm5 0.2413 0.1715 0.0000 x8
Ga1 0.0000 0.5000 0.5000 x2
Ga2 0.1009 0.2691 0.5000 x8
Ga3 0.1506 0.0691 0.5000 x8
Ni1 0.1558 0.3979 0.5000 x8

Main lines, by angle (10° ≤ 2θ ≤ 90°):
d [Å], 2theta, I (rel.), hkl
3.517, 25.32, 17, 4 0 0
2.721, 32.92, 10, 1 5 1
2.676, 33.48, 15, 3 3 1
2.542, 35.31, 100, 4 0 1
2.487, 36.11, 34, 4 6 0
2.388, 37.67, 20, 3 5 1
2.314, 38.93, 10, 1 9 0
2.289, 39.37, 16, 6 2 0
1.839, 49.56, 16, 0 0 2
1.479, 62.85, 14, 4 6 2

***

For Na3Cd2In, DFT lattice parameters and positions (GGA-PBE) gives the simulated XRD peak list in this record (Cu Kα (weighted mean of Kα1 and Kα2)).

Structural model:
Lattice parameters (Å, degrees): 9.4444 11.9582 5.8815 90.00 90.00 90.00
Space group Cmcm (No. 63)
Unique sites:
Na1 0.0000 0.0638 0.2500 x4
Na2 0.1670 0.2411 0.7500 x8
Cd1 0.1802 0.5000 0.0000 x8
In1 0.0000 0.3230 0.2500 x4

Main lines, by angle (10° ≤ 2θ ≤ 90°):
d [Å], 2theta, I (rel.), hkl
7.412, 11.94, 100, 1 1 0
5.979, 14.82, 32, 0 2 0
4.607, 19.27, 36, 1 1 1
3.706, 24.01, 41, 2 2 0
2.704, 33.13, 31, 3 1 1
2.639, 33.97, 59, 0 2 2
2.496, 35.98, 32, 2 0 2
2.471, 36.37, 56, 3 3 0
2.295, 39.25, 34, 1 3 2
2.115, 42.75, 36, 3 1 2